# 1
The following is a simulated powder diffractogram of Pm4SmCu5. It was derived from a cell relaxed with PBE, using Cu Kα, 1.54184 Å.
Intensities are scaled so that the largest is 100.

Structural model:
a b c (Å): 3.5480 3.5480 17.9532
angles (deg): 90.00 90.00 90.00
Fractional positions:
Pm  0.0000  0.0000  0.1002
Pm  0.0000  0.0000  0.3007
Pm  0.0000  0.0000  0.6993
Pm  0.0000  0.0000  0.8998
Sm  0.0000  0.0000  0.5000
Cu  0.5000  0.5000  0.0000
Cu  0.5000  0.5000  0.2004
Cu  0.5000  0.5000  0.4015
Cu  0.5000  0.5000  0.5985
Cu  0.5000  0.5000  0.7996

Most intense lines, 10° ≤ 2θ ≤ 80°, by angle:
- 2θ = 24.80°, I 8
- 2θ = 25.10°, I 16
- 2θ = 35.57°, I 100
- 2θ = 35.79°, I 49
- 2θ = 44.03°, I 7
- 2θ = 50.86°, I 9
- 2θ = 51.52°, I 17
- 2θ = 63.74°, I 18
- 2θ = 64.17°, I 35
- 2θ = 75.31°, I 11


# 2
The following is a simulated powder diffractogram of PmCo6Ge12. It was derived from a cell relaxed with PBE, using Cu Kα, 1.54184 Å.
Intensities are scaled so that the largest is 100.

Structural model:
a b c (Å): 7.4622 7.4622 7.4622
angles (deg): 109.47 109.47 109.47
Fractional positions:
Pm  0.0000  0.0000  0.0000
Co  0.1532  0.6532  0.5000
Co  0.3468  0.5000  0.8468
Co  0.5000  0.1532  0.6532
Co  0.5000  0.8468  0.3468
Co  0.6532  0.5000  0.1532
Co  0.8468  0.3468  0.5000
Ge  0.1412  0.8365  0.3047
Ge  0.1635  0.3047  0.4683
Ge  0.1635  0.6953  0.8588
Ge  0.3047  0.1412  0.8365
Ge  0.3047  0.4683  0.1635
Ge  0.4683  0.1635  0.3047
Ge  0.5317  0.8365  0.6953
Ge  0.6953  0.5317  0.8365
Ge  0.6953  0.8588  0.1635
Ge  0.8365  0.3047  0.1412
Ge  0.8365  0.6953  0.5317
Ge  0.8588  0.1635  0.6953

Most intense lines, 10° ≤ 2θ ≤ 80°, by angle:
- 2θ = 20.62°, I 16
- 2θ = 32.87°, I 15
- 2θ = 39.12°, I 100
- 2θ = 41.94°, I 8
- 2θ = 44.62°, I 12
- 2θ = 54.28°, I 20
- 2θ = 62.89°, I 10
- 2θ = 64.93°, I 13
- 2θ = 66.94°, I 20
- 2θ = 78.49°, I 10